The following is a calculated powder XRD pattern of PrY2Mg3Tl2Zn. It was derived from a crystal structure in OQMD, relaxed with GGA-PBE, using a wavelength of 1.5418 Å.
Neutral-atom scattering factors, no anomalous dispersion.

Structural model:
Unit cell a=4.622 b=13.233 c=7.476 alpha=90.00 beta=90.00 gamma=90.00
Space group Amm2 (No. 38)
One atom of each set of equivalent atoms:
Pr 0.000 0.000 0.000
Y 0.000 0.206 0.618
Mg 0.500 0.000 0.650
Mg 0.500 0.117 0.298
Tl 0.500 0.170 0.912
Zn 0.000 0.000 0.423

The 10 most intense peaks (10 to 90 degrees two-theta), sorted by position:
d 6.509, 13.60°, I = 46, hkl 0 1 1; d 3.795, 23.44°, I = 58, hkl 0 3 1; d 3.738, 23.81°, I = 27, hkl 0 0 2; d 2.935, 30.46°, I = 100, hkl 1 3 1; d 2.906, 30.76°, I = 43, hkl 1 0 2; d 2.690, 33.31°, I = 35, hkl 1 4 0; d 2.661, 33.68°, I = 73, hkl 1 2 2; d 2.311, 38.97°, I = 36, hkl 2 0 0; d 2.170, 41.63°, I = 28, hkl 0 3 3; d 1.427, 65.39°, I = 21, hkl 3 3 1